1.
Diffraction record for RbNaSm2As2. The powder X-ray diffraction pattern is computed, not measured: it uses a DFT-relaxed cell (PBE, OQMD) and Cu Ka.
Kinematic intensities with the Lorentz-polarization factor, no thermal factor.

Cell and atoms:
Lattice parameters (Å, degrees): 4.4111 4.4111 13.6796 90.00 90.00 120.00
Space group P3m1 (No. 156)
Symmetry-distinct sites (fractional):
1 Rb 0.0000 0.0000 0.0000 (multiplicity 1)
2 Na 0.6667 0.3333 0.5059 (multiplicity 1)
3 Sm 0.3333 0.6667 0.2680 (multiplicity 1)
4 Sm 0.3333 0.6667 0.7144 (multiplicity 1)
5 As 0.0000 0.0000 0.6244 (multiplicity 1)
6 As 0.6667 0.3333 0.1802 (multiplicity 1)

Most intense lines, 10 to 80 degrees two-theta, low angle first:
2theta, I_rel, hkl
12.94, 64, 0 0 2
23.28, 19, 1 0 0
24.19, 20, 1 0 1
26.73, 100, 0 1 2
30.53, 39, 0 1 3
35.22, 23, 1 0 4
40.56, 34, 0 1 5
40.92, 47, 1 1 0
43.09, 20, 1 1 2
66.15, 23, 0 1 9



2.
Diffraction record for NaAs5W3. The powder X-ray diffraction pattern is computed, not measured: it uses a DFT-relaxed cell (PBE, OQMD) and Cu Ka.
Kinematic intensities with the Lorentz-polarization factor, no thermal factor.

Cell and atoms:
Lattice parameters (Å, degrees): 5.4243 5.4243 7.9121 90.00 90.00 120.00
Space group P6/mmm (No. 191)
Symmetry-distinct sites (fractional):
1 Na 0.0000 0.0000 0.0000 (multiplicity 1)
2 As 0.0000 0.0000 0.5000 (multiplicity 1)
3 As 0.3333 0.6667 0.2289 (multiplicity 4)
4 W 0.0000 0.5000 0.5000 (multiplicity 3)

Most intense lines, 10 to 80 degrees two-theta, low angle first:
2theta, I_rel, hkl
11.18, 100, 0 0 1
18.89, 17, 1 0 0
33.99, 12, 0 0 3
38.32, 13, 2 0 0
40.04, 35, 2 0 1
40.32, 13, 1 1 2
44.88, 42, 2 0 2
45.88, 9, 0 0 4
52.15, 13, 2 0 3
69.29, 8, 2 2 0



3.
Diffraction record for Nb7As4. The powder X-ray diffraction pattern is computed, not measured: it uses a DFT-relaxed cell (PBE, OQMD) and Cu Ka.
Kinematic intensities with the Lorentz-polarization factor, no thermal factor.

Cell and atoms:
Lattice parameters (Å, degrees): 15.543 3.537 14.300 90.00 104.76 90.00
Space group C2/m (No. 12)
Symmetry-distinct sites (fractional):
1 Nb 0.000 0.000 0.000 (multiplicity 2)
2 Nb 0.000 0.500 0.500 (multiplicity 2)
3 Nb 0.001 0.000 0.662 (multiplicity 4)
4 Nb 0.069 0.500 0.174 (multiplicity 4)
5 Nb 0.166 0.500 0.971 (multiplicity 4)
6 Nb 0.179 0.000 0.544 (multiplicity 4)
7 Nb 0.195 0.000 0.310 (multiplicity 4)
8 Nb 0.212 0.000 0.799 (multiplicity 4)
9 As 0.064 0.000 0.848 (multiplicity 4)
10 As 0.128 0.500 0.401 (multiplicity 4)
11 As 0.129 0.500 0.666 (multiplicity 4)
12 As 0.173 0.000 0.110 (multiplicity 4)

Most intense lines, 10 to 80 degrees two-theta, low angle first:
2theta, I_rel, hkl
34.11, 55, 3 1 -3
35.71, 68, 1 1 -4
37.94, 92, 1 1 4
38.61, 65, 6 0 -4
38.95, 59, 5 1 -2
39.13, 100, 3 1 3
39.33, 66, 5 1 0
40.38, 32, 4 0 -6
41.76, 35, 3 1 -5
51.68, 63, 0 2 0



4.
Diffraction record for Nd2NbAs3. The powder X-ray diffraction pattern is computed, not measured: it uses a DFT-relaxed cell (PBE, OQMD) and Cu Ka.
Kinematic intensities with the Lorentz-polarization factor, no thermal factor.

Cell and atoms:
Lattice parameters (Å, degrees): 4.0675 4.0675 9.9579 90.00 90.00 120.00
Space group P-3m1 (No. 164)
Symmetry-distinct sites (fractional):
1 Nd 0.3333 0.6667 0.3174 (multiplicity 2)
2 Nb 0.0000 0.0000 0.0000 (multiplicity 1)
3 As 0.0000 0.0000 0.5000 (multiplicity 1)
4 As 0.3333 0.6667 0.8628 (multiplicity 2)

Most intense lines, 10 to 80 degrees two-theta, low angle first:
2theta, I_rel, hkl
26.85, 17, 0 0 3
31.10, 100, 1 0 2
37.22, 8, 0 1 3
44.56, 70, 1 1 0
52.79, 9, 1 0 5
55.33, 23, 0 2 2
64.85, 10, 2 0 4
65.61, 6, 1 1 5
71.52, 7, 1 0 7
73.66, 27, 2 1 2



5.
Diffraction record for NdNb2As3. The powder X-ray diffraction pattern is computed, not measured: it uses a DFT-relaxed cell (PBE, OQMD) and Cu Ka.
Kinematic intensities with the Lorentz-polarization factor, no thermal factor.

Cell and atoms:
Lattice parameters (Å, degrees): 4.0333 4.0333 8.9529 90.00 90.00 120.00
Space group P-3m1 (No. 164)
Symmetry-distinct sites (fractional):
1 Nd 0.0000 0.0000 0.0000 (multiplicity 1)
2 Nb 0.3333 0.6667 0.3697 (multiplicity 2)
3 As 0.0000 0.0000 0.5000 (multiplicity 1)
4 As 0.3333 0.6667 0.7988 (multiplicity 2)

Most intense lines, 10 to 80 degrees two-theta, low angle first:
2theta, I_rel, hkl
27.41, 13, 1 0 1
32.51, 100, 1 0 2
39.73, 15, 0 1 3
44.95, 45, 1 1 0
48.29, 24, 0 1 4
56.57, 20, 0 2 2
68.10, 8, 2 0 4
70.31, 8, 1 1 5
75.01, 17, 2 1 2
79.99, 5, 1 1 6



6.
Diffraction record for NbAsOsO. The powder X-ray diffraction pattern is computed, not measured: it uses a DFT-relaxed cell (PBE, OQMD) and Cu Ka.
Kinematic intensities with the Lorentz-polarization factor, no thermal factor.

Cell and atoms:
Lattice parameters (Å, degrees): 4.179 5.677 5.244 90.00 90.00 90.00
Space group Pmc2_1 (No. 26)
Symmetry-distinct sites (fractional):
1 Nb 0.000 0.200 0.000 (multiplicity 2)
2 As 0.000 0.313 0.501 (multiplicity 2)
3 Os 0.500 0.079 0.663 (multiplicity 2)
4 O 0.500 0.257 0.006 (multiplicity 2)

Most intense lines, 10 to 80 degrees two-theta, low angle first:
2theta, I_rel, hkl
15.61, 100, 0 1 0
26.49, 58, 1 1 0
31.58, 24, 1 1 1
34.20, 22, 0 0 2
37.79, 23, 0 1 2
38.34, 39, 1 2 0
40.62, 61, 1 0 2
42.17, 71, 1 2 1
43.30, 41, 2 0 0
43.77, 31, 1 1 2



7.
Diffraction record for NbAsPbO5. The powder X-ray diffraction pattern is computed, not measured: it uses a DFT-relaxed cell (PBE, OQMD) and Cu Ka.
Kinematic intensities with the Lorentz-polarization factor, no thermal factor.

Cell and atoms:
Lattice parameters (Å, degrees): 13.053 5.689 7.198 90.00 119.22 90.00
Space group C2/m (No. 12)
Symmetry-distinct sites (fractional):
1 Nb 0.025 0.000 0.296 (multiplicity 4)
2 As 0.184 0.500 0.209 (multiplicity 4)
3 Pb 0.166 0.500 0.698 (multiplicity 4)
4 O 0.000 0.221 0.500 (multiplicity 4)
5 O 0.099 0.500 0.936 (multiplicity 4)
6 O 0.117 0.000 0.931 (multiplicity 4)
7 O 0.127 0.254 0.296 (multiplicity 8)

Most intense lines, 10 to 80 degrees two-theta, low angle first:
2theta, I_rel, hkl
19.91, 18, 1 1 -1
24.80, 25, 2 0 -2
28.25, 100, 3 1 0
28.42, 34, 0 0 2
30.95, 58, 3 1 -2
31.45, 40, 0 2 0
36.72, 21, 1 1 2
42.90, 20, 0 2 2
53.30, 18, 6 2 -2
54.05, 15, 3 3 0



8.
Diffraction record for TaNbAs2Os2. The powder X-ray diffraction pattern is computed, not measured: it uses a DFT-relaxed cell (PBE, OQMD) and Cu Ka.
Kinematic intensities with the Lorentz-polarization factor, no thermal factor.

Cell and atoms:
Lattice parameters (Å, degrees): 8.510 4.255 12.765 90.00 109.47 90.00
Space group Pm (No. 6)
Symmetry-distinct sites (fractional):
1 Ta 0.000 0.000 0.000 (multiplicity 1)
2 Ta 0.125 0.500 0.750 (multiplicity 1)
3 Ta 0.500 0.000 0.000 (multiplicity 1)
4 Ta 0.750 0.000 0.500 (multiplicity 1)
5 Nb 0.250 0.000 0.500 (multiplicity 1)
6 Nb 0.375 0.500 0.250 (multiplicity 1)
7 Nb 0.625 0.500 0.750 (multiplicity 1)
8 Nb 0.875 0.500 0.250 (multiplicity 1)
9 As 0.000 0.500 0.500 (multiplicity 1)
10 As 0.125 0.000 0.250 (multiplicity 1)
11 As 0.250 0.500 0.000 (multiplicity 1)
12 As 0.375 0.000 0.750 (multiplicity 1)
13 As 0.500 0.500 0.500 (multiplicity 1)
14 As 0.625 0.000 0.250 (multiplicity 1)
15 As 0.750 0.500 0.000 (multiplicity 1)
16 As 0.875 0.000 0.750 (multiplicity 1)
17 Os 0.062 0.500 0.125 (multiplicity 1)
18 Os 0.188 0.000 0.875 (multiplicity 1)
19 Os 0.312 0.500 0.625 (multiplicity 1)
20 Os 0.438 0.000 0.375 (multiplicity 1)
21 Os 0.562 0.500 0.125 (multiplicity 1)
22 Os 0.688 0.000 0.875 (multiplicity 1)
23 Os 0.813 0.500 0.625 (multiplicity 1)
24 Os 0.937 0.000 0.375 (multiplicity 1)

Most intense lines, 10 to 80 degrees two-theta, low angle first:
2theta, I_rel, hkl
11.03, 1, 1 0 -1
14.72, 1, 0 0 2
22.16, 1, 0 0 3
25.64, 60, 2 0 1
29.69, 1, 0 0 4
42.49, 100, 2 1 3
50.29, 30, 4 1 0
61.65, 17, 0 0 8
67.89, 12, 4 1 4
77.75, 34, 6 1 1



9.
Diffraction record for Nb3As2P. The powder X-ray diffraction pattern is computed, not measured: it uses a DFT-relaxed cell (PBE, OQMD) and Cu Ka.
Kinematic intensities with the Lorentz-polarization factor, no thermal factor.

Cell and atoms:
Lattice parameters (Å, degrees): 3.6278 3.6278 9.3887 90.00 90.00 120.00
Space group P-3m1 (No. 164)
Symmetry-distinct sites (fractional):
1 Nb 0.0000 0.0000 0.0000 (multiplicity 1)
2 Nb 0.3333 0.6667 0.3659 (multiplicity 2)
3 As 0.3333 0.6667 0.8261 (multiplicity 2)
4 P 0.0000 0.0000 0.5000 (multiplicity 1)

Most intense lines, 10 to 80 degrees two-theta, low angle first:
2theta, I_rel, hkl
29.99, 11, 0 1 1
34.35, 100, 1 0 2
40.69, 10, 0 1 3
48.42, 34, 0 1 4
50.30, 34, 1 1 0
59.03, 4, 0 0 6
62.33, 17, 0 2 2
66.61, 2, 2 0 3
72.41, 16, 2 0 4
77.36, 5, 1 0 7



10.
Diffraction record for Nb2Zn2As3P. The powder X-ray diffraction pattern is computed, not measured: it uses a DFT-relaxed cell (PBE, OQMD) and Cu Ka.
Kinematic intensities with the Lorentz-polarization factor, no thermal factor.

Cell and atoms:
Lattice parameters (Å, degrees): 12.423 5.847 5.827 90.00 116.72 90.00
Space group C2 (No. 5)
Symmetry-distinct sites (fractional):
1 Nb 0.121 0.000 0.378 (multiplicity 4)
2 Zn 0.120 0.514 0.859 (multiplicity 4)
3 As 0.000 0.255 0.000 (multiplicity 2)
4 As 0.249 0.749 0.247 (multiplicity 4)
5 P 0.000 0.751 0.500 (multiplicity 2)

Most intense lines, 10 to 80 degrees two-theta, low angle first:
2theta, I_rel, hkl
26.72, 98, 1 1 1
27.13, 100, 3 1 -1
43.88, 50, 2 2 -2
44.62, 24, 2 0 2
45.05, 46, 4 2 0
45.65, 22, 6 0 -2
52.00, 32, 1 3 1
52.27, 14, 3 3 -1
52.66, 14, 5 1 -3
54.02, 14, 5 1 1



11.
Diffraction record for Rb3Nb2AsSe11. The powder X-ray diffraction pattern is computed, not measured: it uses a DFT-relaxed cell (PBE, OQMD) and Cu Ka.
Kinematic intensities with the Lorentz-polarization factor, no thermal factor.

Cell and atoms:
Lattice parameters (Å, degrees): 15.352 13.644 10.150 90.00 98.73 90.00
Space group Cc (No. 9)
Symmetry-distinct sites (fractional):
1 Rb 0.000 0.068 0.000 (multiplicity 4)
2 Rb 0.252 0.421 0.834 (multiplicity 4)
3 Rb 0.387 0.079 0.745 (multiplicity 4)
4 Nb 0.117 0.203 0.416 (multiplicity 4)
5 Nb 0.300 0.273 0.230 (multiplicity 4)
6 As 0.034 0.339 0.681 (multiplicity 4)
7 Se 0.102 0.180 0.672 (multiplicity 4)
8 Se 0.107 0.395 0.492 (multiplicity 4)
9 Se 0.132 0.335 0.213 (multiplicity 4)
10 Se 0.172 0.246 0.027 (multiplicity 4)
11 Se 0.195 0.098 0.253 (multiplicity 4)
12 Se 0.202 0.040 0.476 (multiplicity 4)
13 Se 0.292 0.295 0.488 (multiplicity 4)
14 Se 0.368 0.420 0.171 (multiplicity 4)
15 Se 0.382 0.159 0.073 (multiplicity 4)
16 Se 0.409 0.194 0.423 (multiplicity 4)
17 Se 0.467 0.330 0.832 (multiplicity 4)

Most intense lines, 10 to 80 degrees two-theta, low angle first:
2theta, I_rel, hkl
11.72, 17, 2 0 0
13.01, 100, 1 1 1
26.21, 16, 2 2 2
26.93, 26, 3 3 -1
27.21, 25, 1 1 -3
29.51, 97, 2 4 -1
29.75, 29, 0 2 3
30.17, 19, 5 1 0
32.76, 30, 5 1 1
35.80, 18, 0 0 4



12.
Diffraction record for NbAsSe5. The powder X-ray diffraction pattern is computed, not measured: it uses a DFT-relaxed cell (PBE, OQMD) and Cu Ka.
Kinematic intensities with the Lorentz-polarization factor, no thermal factor.

Cell and atoms:
Lattice parameters (Å, degrees): 9.474 3.601 10.612 90.00 115.02 90.00
Space group P2_1/m (No. 11)
Symmetry-distinct sites (fractional):
1 Nb 0.090 0.250 0.362 (multiplicity 2)
2 As 0.328 0.250 0.902 (multiplicity 2)
3 Se 0.112 0.250 0.628 (multiplicity 2)
4 Se 0.127 0.750 0.913 (multiplicity 2)
5 Se 0.208 0.750 0.243 (multiplicity 2)
6 Se 0.320 0.750 0.491 (multiplicity 2)
7 Se 0.498 0.750 0.838 (multiplicity 2)

Most intense lines, 10 to 80 degrees two-theta, low angle first:
2theta, I_rel, hkl
10.30, 14, 1 0 0
10.52, 14, 1 0 -1
16.90, 19, 1 0 -2
31.20, 100, 2 1 -1
33.73, 32, 1 0 3
34.20, 13, 1 0 -4
40.79, 19, 3 1 -3
42.27, 12, 1 1 3
42.67, 32, 1 1 -4
50.71, 19, 0 2 0